The following is a calculated X-ray diffraction stick pattern of LiZr2Os. It was derived from a GGA-PBE-relaxed structure, using Cu Kα.
Neutral-atom scattering factors, no anomalous dispersion.

Peak list (9 most intense, 10° ≤ 2θ ≤ 90°, in order of rising 2θ)
- 2θ 23.32, d = 3.815 Å, intensity 56, (1 1 1)
- 2θ 38.54, d = 2.336 Å, intensity 100, (2 2 0)
- 2θ 45.53, d = 1.992 Å, intensity 29, (3 1 1)
- 2θ 55.64, d = 1.652 Å, intensity 17, (4 0 0)
- 2θ 61.14, d = 1.516 Å, intensity 12, (3 3 1)
- 2θ 69.72, d = 1.349 Å, intensity 34, (4 2 2)
- 2θ 74.64, d = 1.272 Å, intensity 9, (5 1 1)
- 2θ 82.60, d = 1.168 Å, intensity 11, (4 4 0)
- 2θ 87.30, d = 1.117 Å, intensity 10, (5 3 1)

```
LiZr2Os
1.0
6.607 0.000 0.000
0.000 6.607 0.000
0.000 0.000 6.607
Li Zr Os
4 8 4
Direct
0.000 0.000 0.000
0.000 0.500 0.500
0.500 0.000 0.500
0.500 0.500 0.000
0.250 0.250 0.250
0.250 0.250 0.750
0.250 0.750 0.250
0.250 0.750 0.750
0.750 0.250 0.250
0.750 0.250 0.750
0.750 0.750 0.250
0.750 0.750 0.750
0.000 0.000 0.500
0.000 0.500 0.000
0.500 0.000 0.000
0.500 0.500 0.500
```